ErSbO4: calculated PXRD pattern (Cu Kα X-rays), based on DFT lattice parameters and positions (GGA-PBE).
Peak positions follow from Bragg's law for the DFT cell and can differ from measured ones.

Structural model:
a = 7.677 Å, b = 5.378 Å, c = 7.562 Å
α = 90.00°, β = 99.26°, γ = 90.00°
Fractional positions:
Er  0.153  0.231  0.375
Er  0.153  0.269  0.875
Er  0.847  0.731  0.125
Er  0.847  0.769  0.625
Sb  0.340  0.738  0.189
Sb  0.340  0.762  0.689
Sb  0.660  0.238  0.311
Sb  0.660  0.262  0.811
O  0.112  0.545  0.179
O  0.112  0.955  0.679
O  0.191  0.030  0.114
O  0.191  0.470  0.614
O  0.324  0.616  0.939
O  0.324  0.884  0.439
O  0.430  0.088  0.806
O  0.430  0.412  0.306
O  0.570  0.588  0.694
O  0.570  0.912  0.194
O  0.676  0.116  0.561
O  0.676  0.384  0.061
O  0.809  0.530  0.386
O  0.809  0.970  0.886
O  0.888  0.045  0.321
O  0.888  0.455  0.821

Principal peaks in the range 10° ≤ 2θ ≤ 90°, in order of falling intensity:
- 2θ = 28.83°, rel. 100
- 2θ = 29.13°, rel. 86
- 2θ = 33.32°, rel. 29
- 2θ = 50.18°, rel. 27
- 2θ = 35.14°, rel. 18
- 2θ = 60.76°, rel. 18
- 2θ = 30.81°, rel. 18
- 2θ = 23.48°, rel. 17
- 2θ = 36.41°, rel. 17
- 2θ = 46.02°, rel. 17
- 2θ = 29.96°, rel. 17
- 2θ = 51.12°, rel. 14